The following is a calculated powder XRD pattern of La5Nd2Y6. It was derived from a structure optimized by DFT (PBE), using Cu Kα.
Kinematic intensities with the Lorentz-polarization factor, no thermal factor.

Cell and atoms:
```
data_La5Nd2Y6
_chemical_formula_sum 'La10 Nd4 Y12'
_space_group_name_H-M_alt 'P b a m'
_space_group_IT_number 55
_cell_length_a 11.869
_cell_length_b 20.978
_cell_length_c 3.651
_cell_angle_alpha 90.00
_cell_angle_beta 90.00
_cell_angle_gamma 90.00
loop_
_space_group_symop_operation_xyz
'x,y,z'
'-x,-y,-z'
'-x,-y,z'
'x,y,-z'
'x+1/2,-y+1/2,-z'
'-x+1/2,y+1/2,z'
'-x+1/2,y+1/2,-z'
'x+1/2,-y+1/2,z'
loop_
_atom_site_label
_atom_site_type_symbol
_atom_site_fract_x
_atom_site_fract_y
_atom_site_fract_z
_atom_site_occupancy
La1 La 0.000 0.000 0.000 1
La2 La 0.079 0.274 0.000 1
La3 La 0.203 0.547 0.000 1
Nd1 Nd 0.174 0.712 0.500 1
Y1 Y 0.059 0.420 0.500 1
Y2 Y 0.078 0.132 0.500 1
Y3 Y 0.180 0.864 0.000 1
```

Peak list (10 most intense, 10 to 90 degrees two-theta, by angle)
3.354 Å, 2θ = 26.58°, rel. 20
2.982 Å, 2θ = 29.97°, rel. 20
2.938 Å, 2θ = 30.42°, rel. 55
2.906 Å, 2θ = 30.77°, rel. 100
2.842 Å, 2θ = 31.48°, rel. 74
2.675 Å, 2θ = 33.50°, rel. 35
2.620 Å, 2θ = 34.22°, rel. 21
2.505 Å, 2θ = 35.85°, rel. 33
1.826 Å, 2θ = 49.96°, rel. 19
1.652 Å, 2θ = 55.64°, rel. 18